Theoretical powder X-ray diffraction pattern of LaZnCrSnO6 for Cu Kα (weighted mean of Kα1 and Kα2), from a DFT-relaxed cell (GGA+U, Alexandria).
Peak positions follow from Bragg's law for the DFT cell and can differ from measured ones.

Crystal structure
```
LaZnCrSnO6
1.0
5.454 0.000 0.000
0.000 5.628 0.000
-5.422 0.000 7.918
La Zn Cr Sn O
2 2 2 2 12
Direct
0.000 0.207 0.000
0.000 0.793 0.500
0.538 0.278 0.525
0.538 0.722 0.025
0.260 0.247 0.750
0.260 0.753 0.250
0.762 0.264 0.252
0.762 0.736 0.752
0.142 0.217 0.501
0.142 0.783 0.001
0.416 0.306 0.993
0.416 0.694 0.493
0.505 0.074 0.315
0.505 0.926 0.815
0.603 0.426 0.784
0.603 0.574 0.284
0.892 0.050 0.691
0.892 0.950 0.191
0.984 0.480 0.181
0.984 0.520 0.681
```

Top 6 peaks for 10° ≤ 2θ ≤ 90°, low angle first:
2θ 19.76, intensity 14; 2θ 31.80, intensity 25; 2θ 32.15, intensity 100; 2θ 32.84, intensity 23; 2θ 46.36, intensity 24; 2θ 56.87, intensity 28